1.
The following is a simulated powder diffraction line list of Ce8Si4Ge3. It was derived from a PBE-relaxed structure, using a wavelength of 1.5418 Å.

Structural model:
Cell lengths 11.8651, 11.8676, 8.3733 Å; angles 90.00, 134.86, 90.00 degrees
Space group C2/m (No. 12)
One atom of each set of equivalent atoms:
1 Ce 0.0000 0.2474 0.0000
2 Ce 0.0000 0.2490 0.5000
3 Ce 0.2457 0.0000 0.4941
4 Ce 0.2462 0.0000 0.9974
5 Si 0.0000 0.0000 0.0000
6 Si 0.0000 0.0000 0.5000
7 Si 0.2500 0.2500 0.0000
8 Ge 0.0000 0.5000 0.5000
9 Ge 0.2500 0.2500 0.5000

Largest 12 diffraction maxima, by angle, 10° ≤ 2θ ≤ 90°:
| index | two_theta | I (rel.) |
| --- | --- | --- |
| 2 2 0 | 26.0 | 54 |
| 0 4 0 | 30.1 | 100 |
| 4 0 0 | 43.1 | 37 |
| 4 4 -2 | 43.2 | 37 |
| 2 6 0 | 51.0 | 17 |
| 6 2 -4 | 51.1 | 9 |
| 4 4 0 | 53.4 | 13 |
| 4 4 -4 | 53.6 | 13 |
| 0 8 0 | 62.6 | 12 |
| 0 8 2 | 71.0 | 22 |
| 4 8 0 | 78.9 | 12 |
| 8 4 -6 | 79.2 | 12 |



2.
The following is a simulated powder diffraction line list of YSbRh2. It was derived from a PBE-relaxed structure, using a wavelength of 1.5418 Å.

Structural model:
Cell lengths 6.6653, 6.6653, 6.6653 Å; angles 90.00, 90.00, 90.00 degrees
Space group Fm-3m (No. 225)
One atom of each set of equivalent atoms:
1 Y 0.0000 0.0000 0.0000
2 Sb 0.0000 0.0000 0.5000
3 Rh 0.2500 0.2500 0.2500

Largest 6 diffraction maxima, by angle, 10° ≤ 2θ ≤ 90°:
| index | two_theta | I (rel.) |
| --- | --- | --- |
| 1 1 1 | 23.1 | 1 |
| 2 2 0 | 38.2 | 100 |
| 3 1 1 | 45.1 | 1 |
| 4 0 0 | 55.1 | 17 |
| 4 2 2 | 69.0 | 34 |
| 4 4 0 | 81.7 | 11 |